The following is a simulated XRD peak list of Ho2CoSbO6. It was derived from a PBE+U-relaxed structure, using Cu Kα.
Intensities are scaled so that the largest is 100.

Atomic structure:
a = 5.6134 Å, b = 5.6179 Å, c = 5.8516 Å
α = 61.39°, β = 89.97°, γ = 60.17°
Positions (direct):
Ho: 0.0000 0.0000 0.0000
Ho: 0.4994 0.9992 0.5039
Co: 0.2832 0.4293 0.8586
Sb: 0.7847 0.4301 0.3578
O: 0.0805 0.2543 0.1600
O: 0.1619 0.2575 0.6559
O: 0.4115 0.5090 0.1589
O: 0.5824 0.5073 0.6586
O: 0.6658 0.9210 0.1592
O: 0.9098 0.9276 0.6555

Top 8 peaks for 2θ from 15° to 90°, in order of rising 2θ:
- hkl 1 1 1, 2θ = 21.91°, I = 26
- hkl 1 0 1, 2θ = 30.53°, I = 70
- hkl 0 1 2, 2θ = 30.61°, I = 35
- hkl 2 1 0, 2θ = 31.84°, I = 100
- hkl 0 2 0, 2θ = 44.58°, I = 15
- hkl 2 2 2, 2θ = 44.78°, I = 29
- hkl -1 1 3, 2θ = 49.55°, I = 18
- hkl 3 1 1, 2θ = 55.94°, I = 21